1.
Simulated PXRD pattern
Compound: Nd5Y5Ho2
Radiation: Cu Kα X-rays
Structure: a cell relaxed with GGA-PBE
Lines closer than 0.1° are merged.

Atomic structure:
```
data_Nd5Y5Ho2
_chemical_formula_sum 'Nd10 Y10 Ho4'
_space_group_name_H-M_alt 'C 1 2/m 1'
_space_group_IT_number 12
_cell_length_a 15.304
_cell_length_b 5.107
_cell_length_c 11.413
_cell_angle_alpha 90.00
_cell_angle_beta 116.60
_cell_angle_gamma 90.00
loop_
_space_group_symop_operation_xyz
'x,y,z'
'-x,-y,-z'
'-x,y,-z'
'x,-y,z'
'x+1/2,y+1/2,z'
'-x+1/2,-y+1/2,-z'
'-x+1/2,y+1/2,-z'
'x+1/2,-y+1/2,z'
loop_
_atom_site_label
_atom_site_fract_x
_atom_site_fract_y
_atom_site_fract_z
Nd1 0.000 0.000 0.000
Nd2 0.083 0.000 0.750
Nd3 0.167 0.000 0.499
Y1 0.000 0.500 0.500
Y2 0.167 0.500 0.001
Y3 0.249 0.000 0.248
Ho1 0.083 0.500 0.250
```

The 10 most intense peaks (2θ from 10° to 90°), by angle:
30.3 deg, 2.947 Å, I = 100, hkl 3 1 1
35.2 deg, 2.552 Å, I = 50, hkl 0 2 0
50.6 deg, 1.804 Å, I = 36, hkl 6 0 2
60.1 deg, 1.539 Å, I = 42, hkl 3 3 1
63.1 deg, 1.473 Å, I = 12, hkl 6 2 2
74.3 deg, 1.276 Å, I = 6, hkl 0 4 0
82.3 deg, 1.171 Å, I = 14, hkl 3 3 5
82.4 deg, 1.170 Å, I = 3, hkl 9 1 3
85.0 deg, 1.141 Å, I = 13, hkl 0 4 4
85.1 deg, 1.140 Å, I = 3, hkl 12 0 0



2.
Simulated PXRD pattern
Compound: Nd5Y2Ho12
Radiation: Cu Kα X-rays
Structure: a cell relaxed with GGA-PBE
Lines closer than 0.1° are merged.

Atomic structure:
```
data_Nd5Y2Ho12
_chemical_formula_sum 'Nd5 Y2 Ho12'
_space_group_name_H-M_alt 'P -1'
_space_group_IT_number 2
_cell_length_a 6.224
_cell_length_b 8.843
_cell_length_c 11.731
_cell_angle_alpha 93.38
_cell_angle_beta 95.65
_cell_angle_gamma 103.66
loop_
_space_group_symop_operation_xyz
'x,y,z'
'-x,-y,-z'
loop_
_atom_site_label
_atom_site_fract_x
_atom_site_fract_y
_atom_site_fract_z
Nd1 0.000 0.000 0.000
Nd2 0.226 0.661 0.004
Nd3 0.322 0.924 0.568
Y1 0.259 0.333 0.506
Ho1 0.094 0.024 0.300
Ho2 0.161 0.623 0.701
Ho3 0.248 0.314 0.838
Ho4 0.288 0.694 0.314
Ho5 0.317 0.350 0.166
Ho6 0.459 0.982 0.852
```

The 10 most intense peaks (2θ from 10° to 90°), by angle:
28.5 deg, 3.127 Å, I = 22, hkl 1 1 -3
28.8 deg, 3.098 Å, I = 25, hkl 1 0 3
29.7 deg, 3.003 Å, I = 19, hkl 2 0 0
31.3 deg, 2.854 Å, I = 68, hkl 0 3 0
31.6 deg, 2.828 Å, I = 26, hkl 0 3 -1
32.0 deg, 2.800 Å, I = 45, hkl 2 -2 0
32.3 deg, 2.775 Å, I = 100, hkl 1 -2 3
32.6 deg, 2.747 Å, I = 81, hkl 1 1 3
33.8 deg, 2.649 Å, I = 40, hkl 2 1 -1
34.6 deg, 2.591 Å, I = 28, hkl 1 1 -4



3.
Simulated PXRD pattern
Compound: Nd2YHo9
Radiation: Cu Kα X-rays
Structure: a cell relaxed with GGA-PBE
Lines closer than 0.1° are merged.

Atomic structure:
```
data_Nd2YHo9
_chemical_formula_sum 'Nd2 Y1 Ho9'
_space_group_name_H-M_alt 'P 6/m m m'
_space_group_IT_number 191
_space_group_name_Hall '-P 6 2'
_cell_length_a 11.2445
_cell_length_b 11.2445
_cell_length_c 3.4980
_cell_angle_alpha 90.00
_cell_angle_beta 90.00
_cell_angle_gamma 120.00
loop_
_atom_site_label
_atom_site_fract_x
_atom_site_fract_y
_atom_site_fract_z
Nd1 0.3333 0.6667 0.0000
Y1 0.0000 0.0000 0.0000
Ho1 0.0000 0.5000 0.0000
Ho2 0.1741 0.3482 0.5000
```

The 10 most intense peaks (2θ from 10° to 90°), by angle:
30.1 deg, 2.970 Å, I = 20, hkl 1 1 1
31.5 deg, 2.841 Å, I = 52, hkl 2 0 1
31.8 deg, 2.811 Å, I = 100, hkl 2 2 0
35.4 deg, 2.536 Å, I = 21, hkl 2 1 1
37.8 deg, 2.379 Å, I = 11, hkl 3 0 1
45.4 deg, 1.998 Å, I = 19, hkl 4 0 1
56.5 deg, 1.629 Å, I = 19, hkl 4 2 1
56.7 deg, 1.623 Å, I = 18, hkl 6 0 0
62.5 deg, 1.485 Å, I = 30, hkl 2 2 2
80.8 deg, 1.190 Å, I = 14, hkl 6 0 2